[1]
This entry pairs a crystal structure of BaZn3B2O6F2 with its simulated powder diffraction line list. Radiation: λ = 1.5418 Å (Cu Kα). Structure: DFT lattice parameters and positions (GGA-PBE).
Intensities are scaled so that the largest is 100.

Structure:
```
data_BaZn3B2O6F2
_cell_length_a 4.8987
_cell_length_b 4.8987
_cell_length_c 7.5839
_cell_angle_alpha 90.00
_cell_angle_beta 90.00
_cell_angle_gamma 120.00
_space_group_name_H-M_alt 'P -3'
_space_group_IT_number 147
loop_
_space_group_symop_operation_xyz
'x,y,z'
'-x,-y,-z'
'-y,x-y,z'
'y,-x+y,-z'
'-x+y,-x,z'
'x-y,x,-z'
loop_
_atom_site_label
_atom_site_type_symbol
_atom_site_fract_x
_atom_site_fract_y
_atom_site_fract_z
Ba1 Ba 0.0000 0.0000 0.0000
Zn1 Zn 0.0000 0.0000 0.5000
Zn2 Zn 0.3333 0.6667 0.2886
B1 B 0.3333 0.6667 0.6754
O1 O 0.0735 0.7062 0.6729
F1 F 0.3333 0.6667 0.0246
```

Most intense lines, 15 to 90 degrees two-theta, low angle first:
index, 2θ (°), I_rel
0 1 1, 24.04, 37
1 0 2, 31.65, 100
1 1 0, 36.69, 67
0 2 2, 49.22, 32
3 -1 2, 62.93, 26
3 0 0, 66.08, 24

[2]
This entry pairs a crystal structure of In3Sn2Pt2 with its simulated powder diffraction line list. Radiation: λ = 1.5418 Å (Cu Kα). Structure: DFT lattice parameters and positions (GGA-PBE).
Intensities are scaled so that the largest is 100.

Structure:
```
data_In3Sn2Pt2
_cell_length_a 4.6787
_cell_length_b 4.6787
_cell_length_c 17.2108
_cell_angle_alpha 90.00
_cell_angle_beta 90.00
_cell_angle_gamma 120.00
_space_group_name_H-M_alt 'P 63/m m c'
_space_group_IT_number 194
_space_group_name_Hall '-P 6c 2c'
loop_
_atom_site_label
_atom_site_type_symbol
_atom_site_fract_x
_atom_site_fract_y
_atom_site_fract_z
In1 In 0.0000 0.0000 0.1586
In2 In 0.3333 0.6667 0.2500
Sn1 Sn 0.3333 0.6667 0.5569
Pt1 Pt 0.0000 0.0000 0.0000
Pt2 Pt 0.3333 0.6667 0.7500
```

Most intense lines, 15 to 90 degrees two-theta, low angle first:
index, 2θ (°), I_rel
0 0 4, 20.64, 13
1 0 5, 34.18, 11
1 1 0, 38.47, 100
1 1 4, 44.06, 11
2 0 6, 55.53, 16
3 0 0, 69.59, 27

[3]
This entry pairs a crystal structure of GdCd6Ge6 with its simulated powder diffraction line list. Radiation: λ = 1.5418 Å (Cu Kα). Structure: DFT lattice parameters and positions (GGA-PBE).
Intensities are scaled so that the largest is 100.

Structure:
```
data_GdCd6Ge6
_cell_length_a 5.9966
_cell_length_b 10.4026
_cell_length_c 9.3051
_cell_angle_alpha 90.00
_cell_angle_beta 90.00
_cell_angle_gamma 90.00
_space_group_name_H-M_alt 'C m m m'
_space_group_IT_number 65
_space_group_name_Hall '-C 2 2'
loop_
_atom_site_label
_atom_site_type_symbol
_atom_site_fract_x
_atom_site_fract_y
_atom_site_fract_z
Gd1 Gd 0.0000 0.0000 0.0000
Cd1 Cd 0.0000 0.5000 0.2468
Cd2 Cd 0.2500 0.2500 0.2473
Ge1 Ge 0.0000 0.0000 0.3540
Ge2 Ge 0.0000 0.3332 0.0000
Ge3 Ge 0.0000 0.3338 0.5000
```

Most intense lines, 15 to 90 degrees two-theta, low angle first:
index, 2θ (°), I_rel
2 2 0, 34.51, 93
2 0 2, 35.60, 100
0 0 4, 38.71, 32
0 4 2, 39.73, 92
2 2 4, 52.82, 29
2 6 0, 61.81, 37

[4]
This entry pairs a crystal structure of ZnSi16Ge12P3 with its simulated powder diffraction line list. Radiation: λ = 1.5418 Å (Cu Kα). Structure: DFT lattice parameters and positions (GGA-PBE).
Intensities are scaled so that the largest is 100.

Structure:
```
data_ZnSi16Ge12P3
_cell_length_a 6.7589
_cell_length_b 10.3686
_cell_length_c 10.3760
_cell_angle_alpha 81.56
_cell_angle_beta 72.28
_cell_angle_gamma 84.16
_space_group_name_H-M_alt 'P 1'
_space_group_IT_number 1
loop_
_space_group_symop_operation_xyz
'x,y,z'
loop_
_atom_site_label
_atom_site_type_symbol
_atom_site_fract_x
_atom_site_fract_y
_atom_site_fract_z
Zn1 Zn 0.0000 0.0000 0.0000
Si1 Si 0.1135 0.0709 0.3924
Si2 Si 0.1163 0.2033 0.0062
Si3 Si 0.1219 0.5819 0.8814
Si4 Si 0.1237 0.4492 0.2602
Si5 Si 0.4934 0.5591 0.8023
Si6 Si 0.4944 0.9315 0.6831
Si7 Si 0.4955 0.4330 0.1803
Si8 Si 0.4953 0.6709 0.4270
Si9 Si 0.5034 0.3066 0.5539
Si10 Si 0.6157 0.3916 0.9462
Si11 Si 0.6197 0.1350 0.6960
Si12 Si 0.6212 0.2652 0.3235
Si13 Si 0.6246 0.5085 0.5722
Si14 Si 0.9888 0.1158 0.6187
Si15 Si 0.9966 0.6120 0.1171
Si16 Si 0.9983 0.4969 0.4888
Ge1 Ge 0.0023 0.8601 0.3746
Ge2 Ge 0.1078 0.8162 0.1377
Ge3 Ge 0.1181 0.9482 0.7679
Ge4 Ge 0.1236 0.3216 0.6318
Ge5 Ge 0.4869 0.0612 0.3097
Ge6 Ge 0.4869 0.1858 0.9318
Ge7 Ge 0.4871 0.8018 0.0702
Ge8 Ge 0.6162 0.8778 0.4525
Ge9 Ge 0.6214 0.7595 0.8287
Ge10 Ge 0.6292 0.0105 0.0745
Ge11 Ge 0.9915 0.3790 0.8686
Ge12 Ge 0.9987 0.2433 0.2419
P1 P 0.1368 0.6851 0.5119
P2 P 0.6326 0.6243 0.1993
P3 P 0.9953 0.7464 0.7467
```

Most intense lines, 15 to 90 degrees two-theta, low angle first:
index, 2θ (°), I_rel
0 1 3, 27.61, 51
2 0 0, 27.76, 51
1 -2 2, 28.01, 100
-2 1 3, 45.57, 25
1 -1 5, 46.39, 46
3 3 1, 46.52, 47

[5]
This entry pairs a crystal structure of ErTm2Lu with its simulated powder diffraction line list. Radiation: λ = 1.5418 Å (Cu Kα). Structure: DFT lattice parameters and positions (GGA-PBE).
Intensities are scaled so that the largest is 100.

Structure:
```
data_ErTm2Lu
_cell_length_a 5.5000
_cell_length_b 12.2558
_cell_length_c 7.0756
_cell_angle_alpha 90.00
_cell_angle_beta 90.00
_cell_angle_gamma 90.00
_space_group_name_H-M_alt 'A m a 2'
_space_group_IT_number 40
loop_
_space_group_symop_operation_xyz
'x,y,z'
'-x,-y,z'
'-x+1/2,y,z'
'x+1/2,-y,z'
'x,y+1/2,z+1/2'
'-x,-y+1/2,z+1/2'
'-x+1/2,y+1/2,z+1/2'
'x+1/2,-y+1/2,z+1/2'
loop_
_atom_site_label
_atom_site_type_symbol
_atom_site_fract_x
_atom_site_fract_y
_atom_site_fract_z
Er1 Er 0.2500 0.1666 0.0000
Tm1 Tm 0.2500 0.1664 0.5003
Tm2 Tm 0.2500 0.4169 0.2498
Lu1 Lu 0.2500 0.4168 0.7505
```

Most intense lines, 15 to 90 degrees two-theta, low angle first:
index, 2θ (°), I_rel
0 4 0, 29.15, 24
2 0 0, 32.56, 24
1 4 0, 33.48, 100
0 6 2, 51.67, 20
3 4 0, 58.69, 20
2 6 2, 62.42, 22

[6]
This entry pairs a crystal structure of AlTcAsH6 with its simulated powder diffraction line list. Radiation: λ = 1.5418 Å (Cu Kα). Structure: DFT lattice parameters and positions (GGA-PBE).
Intensities are scaled so that the largest is 100.

Structure:
```
data_AlTcAsH6
_cell_length_a 6.3039
_cell_length_b 6.3039
_cell_length_c 6.3039
_cell_angle_alpha 90.00
_cell_angle_beta 90.00
_cell_angle_gamma 90.00
_space_group_name_H-M_alt 'F -4 3 m'
_space_group_IT_number 216
_space_group_name_Hall 'F -4 2 3'
loop_
_atom_site_label
_atom_site_type_symbol
_atom_site_fract_x
_atom_site_fract_y
_atom_site_fract_z
Al1 Al 0.0000 0.0000 0.0000
Tc1 Tc 0.0000 0.0000 0.5000
As1 As 0.2500 0.2500 0.2500
H1 H 0.0899 0.2500 0.7500
```

Most intense lines, 15 to 90 degrees two-theta, low angle first:
index, 2θ (°), I_rel
1 1 1, 24.46, 64
2 2 0, 40.47, 100
3 1 1, 47.86, 33
4 0 0, 58.57, 17
3 3 1, 64.43, 14
4 2 2, 73.61, 32

[7]
This entry pairs a crystal structure of NdDyCu6 with its simulated powder diffraction line list. Radiation: λ = 1.5418 Å (Cu Kα). Structure: DFT lattice parameters and positions (GGA-PBE).
Intensities are scaled so that the largest is 100.

Structure:
```
data_NdDyCu6
_cell_length_a 4.3513
_cell_length_b 5.9989
_cell_length_c 5.2042
_cell_angle_alpha 90.00
_cell_angle_beta 90.00
_cell_angle_gamma 90.00
_space_group_name_H-M_alt 'P m m 2'
_space_group_IT_number 25
loop_
_space_group_symop_operation_xyz
'x,y,z'
'-x,-y,z'
'-x,y,z'
'x,-y,z'
loop_
_atom_site_label
_atom_site_type_symbol
_atom_site_fract_x
_atom_site_fract_y
_atom_site_fract_z
Nd1 Nd 0.0000 0.0000 0.0000
Dy1 Dy 0.5000 0.5000 0.7256
Cu1 Cu 0.0000 0.2292 0.4986
Cu2 Cu 0.0000 0.5000 0.1151
Cu3 Cu 0.5000 0.0000 0.5685
Cu4 Cu 0.5000 0.2928 0.2305
```

Most intense lines, 15 to 90 degrees two-theta, low angle first:
index, 2θ (°), I_rel
1 1 0, 25.29, 18
1 1 1, 30.65, 15
0 2 1, 34.51, 24
0 1 2, 37.68, 21
1 2 1, 40.42, 100
2 0 0, 41.51, 26

[8]
This entry pairs a crystal structure of Tm2Sc2BI5 with its simulated powder diffraction line list. Radiation: λ = 1.5418 Å (Cu Kα). Structure: DFT lattice parameters and positions (GGA-PBE).
Intensities are scaled so that the largest is 100.

Structure:
```
data_Tm2Sc2BI5
_cell_length_a 20.6048
_cell_length_b 3.9311
_cell_length_c 8.4289
_cell_angle_alpha 90.00
_cell_angle_beta 101.55
_cell_angle_gamma 90.00
_space_group_name_H-M_alt 'C 1 2/m 1'
_space_group_IT_number 12
loop_
_space_group_symop_operation_xyz
'x,y,z'
'-x,-y,-z'
'-x,y,-z'
'x,-y,z'
'x+1/2,y+1/2,z'
'-x+1/2,-y+1/2,-z'
'-x+1/2,y+1/2,-z'
'x+1/2,-y+1/2,z'
loop_
_atom_site_label
_atom_site_type_symbol
_atom_site_fract_x
_atom_site_fract_y
_atom_site_fract_z
Tm1 Tm 0.0000 0.0000 0.1951
Sc1 Sc 0.1151 0.5000 0.0566
B1 B 0.0000 0.5000 0.0000
I1 I 0.0000 0.5000 0.5000
I2 I 0.1533 0.0000 0.3195
I3 I 0.1537 0.0000 0.8306
```

Most intense lines, 15 to 90 degrees two-theta, low angle first:
index, 2θ (°), I_rel
0 0 2, 21.54, 30
1 1 0, 23.05, 38
6 0 0, 26.49, 61
1 1 -2, 31.11, 100
5 1 2, 41.24, 30
7 1 -2, 41.37, 31

[9]
This entry pairs a crystal structure of TmHIBr with its simulated powder diffraction line list. Radiation: λ = 1.5418 Å (Cu Kα). Structure: DFT lattice parameters and positions (GGA-PBE).
Intensities are scaled so that the largest is 100.

Structure:
```
data_TmHIBr
_cell_length_a 3.8594
_cell_length_b 3.8594
_cell_length_c 15.8975
_cell_angle_alpha 90.00
_cell_angle_beta 90.00
_cell_angle_gamma 120.00
_space_group_name_H-M_alt 'P -6 m 2'
_space_group_IT_number 187
_space_group_name_Hall 'P -6 2'
loop_
_atom_site_label
_atom_site_type_symbol
_atom_site_fract_x
_atom_site_fract_y
_atom_site_fract_z
Tm1 Tm 0.0000 0.0000 0.0000
Tm2 Tm 0.0000 0.0000 0.5000
H1 H 0.3333 0.6667 0.0000
H2 H 0.6667 0.3333 0.5000
I1 I 0.6667 0.3333 0.1329
Br1 Br 0.3333 0.6667 0.3824
```

Most intense lines, 15 to 90 degrees two-theta, low angle first:
index, 2θ (°), I_rel
1 0 1, 27.27, 41
1 0 2, 28.98, 65
1 0 3, 31.65, 32
1 0 4, 35.08, 100
1 1 0, 47.09, 42
1 1 8, 67.68, 26

[10]
This entry pairs a crystal structure of ZrNb2Sn with its simulated powder diffraction line list. Radiation: λ = 1.5418 Å (Cu Kα). Structure: DFT lattice parameters and positions (GGA-PBE).
Intensities are scaled so that the largest is 100.

Structure:
```
data_ZrNb2Sn
_cell_length_a 6.8329
_cell_length_b 6.8329
_cell_length_c 6.8329
_cell_angle_alpha 90.00
_cell_angle_beta 90.00
_cell_angle_gamma 90.00
_space_group_name_H-M_alt 'F -4 3 m'
_space_group_IT_number 216
_space_group_name_Hall 'F -4 2 3'
loop_
_atom_site_label
_atom_site_type_symbol
_atom_site_fract_x
_atom_site_fract_y
_atom_site_fract_z
Zr1 Zr 0.0000 0.0000 0.0000
Nb1 Nb 0.0000 0.0000 0.5000
Nb2 Nb 0.2500 0.2500 0.2500
Sn1 Sn 0.2500 0.2500 0.7500
```

Most intense lines, 15 to 90 degrees two-theta, low angle first:
index, 2θ (°), I_rel
1 1 1, 22.54, 1
2 2 0, 37.22, 100
3 1 1, 43.95, 1
4 0 0, 53.65, 17
4 2 2, 67.11, 35
4 4 0, 79.32, 11

[11]
This entry pairs a crystal structure of FeSi18Ge13 with its simulated powder diffraction line list. Radiation: λ = 1.5418 Å (Cu Kα). Structure: DFT lattice parameters and positions (GGA-PBE).
Intensities are scaled so that the largest is 100.

Structure:
```
data_FeSi18Ge13
_cell_length_a 5.5653
_cell_length_b 3.9286
_cell_length_c 31.3196
_cell_angle_alpha 90.00
_cell_angle_beta 90.00
_cell_angle_gamma 90.00
_space_group_name_H-M_alt 'P 1 m 1'
_space_group_IT_number 6
loop_
_space_group_symop_operation_xyz
'x,y,z'
'x,-y,z'
loop_
_atom_site_label
_atom_site_type_symbol
_atom_site_fract_x
_atom_site_fract_y
_atom_site_fract_z
Fe1 Fe 0.0000 0.0000 0.0000
Si1 Si 0.9996 0.0000 0.1248
Si2 Si 0.9996 0.0000 0.8779
Si3 Si 0.0006 0.0000 0.3756
Si4 Si 0.0091 0.0000 0.7510
Si5 Si 0.0097 0.0000 0.4995
Si6 Si 0.2400 0.0000 0.9416
Si7 Si 0.2467 0.0000 0.6885
Si8 Si 0.2479 0.0000 0.1865
Si9 Si 0.2476 0.0000 0.4371
Si10 Si 0.2591 0.0000 0.3153
Si11 Si 0.5008 0.5000 0.3151
Si12 Si 0.5097 0.5000 0.0633
Si13 Si 0.5105 0.5000 0.8151
Si14 Si 0.7577 0.5000 0.1245
Si15 Si 0.7575 0.5000 0.8762
Si16 Si 0.7586 0.5000 0.3747
Si17 Si 0.7589 0.5000 0.6270
Si18 Si 0.9982 0.0000 0.6273
Ge1 Ge 0.0121 0.0000 0.2515
Ge2 Ge 0.2476 0.0000 0.5639
Ge3 Ge 0.2536 0.0000 0.0602
Ge4 Ge 0.2579 0.0000 0.8147
Ge5 Ge 0.4968 0.5000 0.9383
Ge6 Ge 0.4978 0.5000 0.6882
Ge7 Ge 0.4991 0.5000 0.4364
Ge8 Ge 0.4997 0.5000 0.1866
Ge9 Ge 0.5098 0.5000 0.5645
Ge10 Ge 0.7481 0.5000 0.2519
Ge11 Ge 0.7581 0.5000 0.7520
Ge12 Ge 0.7598 0.5000 0.4999
Ge13 Ge 0.7725 0.5000 0.0014
```

Most intense lines, 15 to 90 degrees two-theta, low angle first:
index, 2θ (°), I_rel
1 0 8, 27.83, 100
0 2 0, 46.22, 59
3 1 0, 54.74, 14
1 2 8, 54.83, 14
1 1 -16, 54.94, 14
3 1 16, 74.44, 14

[12]
This entry pairs a crystal structure of SiAg5O4 with its simulated powder diffraction line list. Radiation: λ = 1.5418 Å (Cu Kα). Structure: DFT lattice parameters and positions (GGA-PBE).
Intensities are scaled so that the largest is 100.

Structure:
```
data_SiAg5O4
_cell_length_a 9.0678
_cell_length_b 9.9464
_cell_length_c 6.3367
_cell_angle_alpha 90.00
_cell_angle_beta 90.00
_cell_angle_gamma 90.00
_space_group_name_H-M_alt 'P n n m'
_space_group_IT_number 58
loop_
_space_group_symop_operation_xyz
'x,y,z'
'-x,-y,-z'
'-x,-y,z'
'x,y,-z'
'x+1/2,-y+1/2,-z+1/2'
'-x+1/2,y+1/2,z+1/2'
'-x+1/2,y+1/2,-z+1/2'
'x+1/2,-y+1/2,z+1/2'
loop_
_atom_site_label
_atom_site_type_symbol
_atom_site_fract_x
_atom_site_fract_y
_atom_site_fract_z
Si1 Si 0.2399 0.1173 0.0000
Ag1 Ag 0.0658 0.3773 0.2191
Ag2 Ag 0.1093 0.8808 0.2645
Ag3 Ag 0.2054 0.5936 0.0000
O1 O 0.1007 0.6997 0.5000
O2 O 0.1464 0.1546 0.2167
O3 O 0.2304 0.4518 0.5000
```

Most intense lines, 15 to 90 degrees two-theta, low angle first:
index, 2θ (°), I_rel
0 0 2, 28.16, 31
2 0 2, 34.54, 43
3 2 0, 34.73, 100
1 2 2, 35.01, 91
0 4 0, 36.12, 63
3 2 2, 45.30, 37